The following is a calculated X-ray powder pattern of Na3Li2Ni3N3. It was derived from a cell relaxed with PBE, using λ = 1.5418 Å (Cu Kα).
Lines closer than 0.1° are merged.

Largest 10 diffraction maxima, sorted by position, 10 to 90 degrees two-theta:
2θ/deg	Rel. int.	(hkl)
24.85	100.0	1 1 0
28.77	15.3	2 0 0
36.10	72.4	1 1 1
38.37	43.5	2 1 0
39.00	19.6	2 0 1
43.75	23.6	3 0 0
53.21	20.7	3 1 0
59.35	14.2	1 1 2
60.03	17.1	3 1 1
67.27	13.8	2 1 2

```
data_Na3Li2Ni3N3
_chemical_formula_sum 'Na3 Li2 Ni3 N3'
_cell_length_a 7.1671
_cell_length_b 7.1671
_cell_length_c 3.4577
_cell_angle_alpha 90.00
_cell_angle_beta 90.00
_cell_angle_gamma 120.00
_symmetry_space_group_name_H-M 'P -6 2 m'
_symmetry_Int_Tables_number 189
_symmetry_space_group_name_Hall 'P -6 -2'
loop_
_atom_site_label
_atom_site_type_symbol
_atom_site_fract_x
_atom_site_fract_y
_atom_site_fract_z
_atom_site_occupancy
Na1 Na 0.0000 0.2566 0.0000 1
Li1 Li 0.3333 0.6667 0.0000 1
Ni1 Ni 0.0000 0.6085 0.5000 1
N1 N 0.0000 0.6058 0.0000 1
```

***

The following is a calculated X-ray powder pattern of Li2Nb3N5. It was derived from a cell relaxed with PBE, using λ = 1.5418 Å (Cu Kα).
Lines closer than 0.1° are merged.

Largest 10 diffraction maxima, sorted by position, 10 to 90 degrees two-theta:
2θ/deg	Rel. int.	(hkl)
20.37	42.6	2 0 1
22.86	100.0	1 1 0
27.64	31.4	0 0 3
35.97	69.4	3 1 1
36.07	71.3	1 1 -3
41.00	59.8	4 0 -2
41.81	55.2	2 0 4
42.69	54.1	0 2 0
60.68	34.3	4 2 -2
61.29	33.5	2 2 4

```
data_Li2Nb3N5
_chemical_formula_sum 'Li8 Nb12 N20'
_cell_length_a 9.8252
_cell_length_b 4.2361
_cell_length_c 9.6826
_cell_angle_alpha 90.00
_cell_angle_beta 90.71
_cell_angle_gamma 90.00
_symmetry_space_group_name_H-M 'C 1 2/m 1'
_symmetry_Int_Tables_number 12
_symmetry_space_group_name_Hall '-C 2y'
loop_
_atom_site_label
_atom_site_type_symbol
_atom_site_fract_x
_atom_site_fract_y
_atom_site_fract_z
_atom_site_occupancy
Li1 Li 0.0440 0.0000 0.3476 1
Li2 Li 0.1471 0.0000 0.0487 1
Nb1 Nb 0.0544 0.5000 0.8570 1
Nb2 Nb 0.1446 0.5000 0.5482 1
Nb3 Nb 0.2384 0.5000 0.2433 1
N1 N 0.0465 0.5000 0.3482 1
N2 N 0.0642 0.0000 0.8446 1
N3 N 0.1426 0.5000 0.0518 1
N4 N 0.1524 0.0000 0.5492 1
N5 N 0.2483 0.0000 0.2491 1
```

***

The following is a calculated X-ray powder pattern of Li3Nd2NbN4. It was derived from a cell relaxed with PBE, using λ = 1.5418 Å (Cu Kα).
Lines closer than 0.1° are merged.

Largest 10 diffraction maxima, sorted by position, 10 to 90 degrees two-theta:
2θ/deg	Rel. int.	(hkl)
18.55	58.9	1 1 0
23.20	42.4	1 1 -2
29.09	57.2	1 1 2
31.83	100.0	3 1 -2
32.24	31.4	2 0 2
34.21	34.0	2 0 -4
38.09	37.1	1 1 -4
45.92	34.6	2 2 2
47.43	20.5	2 2 -4
52.84	22.5	5 1 0

```
data_Li3Nd2NbN4
_chemical_formula_sum 'Li12 Nd8 Nb4 N16'
_cell_length_a 10.0147
_cell_length_b 5.6207
_cell_length_c 10.5614
_cell_angle_alpha 90.00
_cell_angle_beta 114.60
_cell_angle_gamma 90.00
_symmetry_space_group_name_H-M 'C 1 2/c 1'
_symmetry_Int_Tables_number 15
_symmetry_space_group_name_Hall '-C 2yc'
loop_
_atom_site_label
_atom_site_type_symbol
_atom_site_fract_x
_atom_site_fract_y
_atom_site_fract_z
_atom_site_occupancy
Li1 Li 0.0000 0.1178 0.2500 1
Li2 Li 0.1164 0.0048 0.5919 1
Nd1 Nd 0.2017 0.4995 0.0818 1
Nb1 Nb 0.0000 0.4042 0.7500 1
N1 N 0.0592 0.1867 0.9163 1
N2 N 0.1728 0.3724 0.3119 1
```

***

The following is a calculated X-ray powder pattern of Li16Nb2N8O. It was derived from a cell relaxed with PBE, using λ = 1.5418 Å (Cu Kα).
Lines closer than 0.1° are merged.

Largest 10 diffraction maxima, sorted by position, 10 to 90 degrees two-theta:
2θ/deg	Rel. int.	(hkl)
18.57	100.0	0 1 2
21.06	23.7	0 0 6
22.23	71.2	1 0 4
29.99	31.6	1 1 0
31.85	16.8	0 0 9
33.22	23.6	0 1 8
35.51	18.4	2 0 2
36.94	28.0	2 -1 6
37.65	16.8	0 2 4
53.24	51.7	2 -1 12

```
data_Li16Nb2N8O
_chemical_formula_sum 'Li48 Nb6 N24 O3'
_cell_length_a 5.9583
_cell_length_b 5.9583
_cell_length_c 25.3051
_cell_angle_alpha 90.00
_cell_angle_beta 90.00
_cell_angle_gamma 120.00
_symmetry_space_group_name_H-M 'R -3'
_symmetry_Int_Tables_number 148
_symmetry_space_group_name_Hall '-R 3'
loop_
_atom_site_label
_atom_site_type_symbol
_atom_site_fract_x
_atom_site_fract_y
_atom_site_fract_z
_atom_site_occupancy
Li1 Li 0.0000 0.0000 0.0779 1
Li2 Li 0.0000 0.0000 0.4167 1
Li3 Li 0.0064 0.6415 0.3096 1
Li4 Li 0.0222 0.6355 0.8085 1
Nb1 Nb 0.0000 0.0000 0.2495 1
N1 N 0.0000 0.0000 0.3275 1
N2 N 0.0010 0.6866 0.2245 1
O1 O 0.0000 0.0000 0.0000 1
```

***

The following is a calculated X-ray powder pattern of SrLi3NbN3. It was derived from a cell relaxed with PBE, using λ = 1.5418 Å (Cu Kα).
Lines closer than 0.1° are merged.

Largest 10 diffraction maxima, sorted by position, 10 to 90 degrees two-theta:
2θ/deg	Rel. int.	(hkl)
13.49	61.7	0 0 3
17.33	26.0	1 0 1
24.69	41.9	1 0 4
28.24	30.4	0 1 5
29.19	100.0	1 1 0
32.29	90.2	1 1 3
36.16	67.0	1 0 7
47.13	25.4	0 2 7
51.76	40.2	3 0 0
56.40	32.7	2 1 7

```
data_SrLi3NbN3
_chemical_formula_sum 'Sr6 Li18 Nb6 N18'
_cell_length_a 6.1183
_cell_length_b 6.1183
_cell_length_c 19.6857
_cell_angle_alpha 90.00
_cell_angle_beta 90.00
_cell_angle_gamma 120.00
_symmetry_space_group_name_H-M 'R -3'
_symmetry_Int_Tables_number 148
_symmetry_space_group_name_Hall '-R 3'
loop_
_atom_site_label
_atom_site_type_symbol
_atom_site_fract_x
_atom_site_fract_y
_atom_site_fract_z
_atom_site_occupancy
Sr1 Sr 0.0000 0.0000 0.1579 1
Li1 Li 0.0356 0.6247 0.3668 1
Nb1 Nb 0.0000 0.0000 0.4284 1
N1 N 0.0004 0.3087 0.4073 1
```

***

The following is a calculated X-ray powder pattern of Sr3Li4Ni2N6. It was derived from a cell relaxed with PBE, using λ = 1.5418 Å (Cu Kα).
Lines closer than 0.1° are merged.

Largest 10 diffraction maxima, sorted by position, 10 to 90 degrees two-theta:
2θ/deg	Rel. int.	(hkl)
14.08	81.4	0 0 1
22.35	62.1	1 1 1
28.95	34.0	2 0 0
33.12	59.6	1 1 -2
34.57	87.2	1 3 -1
34.76	100.0	1 3 1
37.32	73.2	2 2 -1
41.31	42.6	2 0 2
45.07	40.0	3 1 0
47.32	58.6	0 2 3

```
data_Sr3Li4Ni2N6
_chemical_formula_sum 'Sr6 Li8 Ni4 N12'
_cell_length_a 6.1697
_cell_length_b 9.5926
_cell_length_c 6.2897
_cell_angle_alpha 90.00
_cell_angle_beta 90.88
_cell_angle_gamma 90.00
_symmetry_space_group_name_H-M 'C 1 2/m 1'
_symmetry_Int_Tables_number 12
_symmetry_space_group_name_Hall '-C 2y'
loop_
_atom_site_label
_atom_site_type_symbol
_atom_site_fract_x
_atom_site_fract_y
_atom_site_fract_z
_atom_site_occupancy
Sr1 Sr 0.0000 0.0000 0.0000 1
Sr2 Sr 0.0000 0.1901 0.5000 1
Li1 Li 0.1270 0.3335 0.8758 1
Ni1 Ni 0.1103 0.5000 0.3403 1
N1 N 0.1983 0.5000 0.6364 1
N2 N 0.2046 0.3428 0.1962 1
```

***

The following is a calculated X-ray powder pattern of LiPdNO. It was derived from a cell relaxed with PBE, using λ = 1.5418 Å (Cu Kα).
Lines closer than 0.1° are merged.

Largest 10 diffraction maxima, sorted by position, 10 to 90 degrees two-theta:
2θ/deg	Rel. int.	(hkl)
20.70	100.0	0 0 1
30.32	85.8	1 1 0
36.99	61.9	1 1 1
42.11	30.7	0 0 2
43.41	56.0	2 0 0
48.55	40.3	2 0 1
52.77	35.2	1 1 2
62.08	35.6	2 0 2
75.43	17.8	3 1 1
78.77	16.9	2 2 2

```
data_LiPdNO
_chemical_formula_sum 'Li2 Pd2 N2 O2'
_cell_length_a 4.1691
_cell_length_b 4.1691
_cell_length_c 4.2916
_cell_angle_alpha 90.00
_cell_angle_beta 90.00
_cell_angle_gamma 90.00
_symmetry_space_group_name_H-M 'P 4/n m m'
_symmetry_Int_Tables_number 129
loop_
_symmetry_equiv_pos_as_xyz
'x,y,z'
'-x,-y,-z'
'-y+1/2,x,z'
'y+1/2,-x,-z'
'-x+1/2,-y+1/2,z'
'x+1/2,y+1/2,-z'
'y,-x+1/2,z'
'-y,x+1/2,-z'
'x+1/2,-y,-z'
'-x+1/2,y,z'
'-y,-x,-z'
'y,x,z'
'-x,y+1/2,-z'
'x,-y+1/2,z'
'y+1/2,x+1/2,-z'
'-y+1/2,-x+1/2,z'
loop_
_atom_site_label
_atom_site_type_symbol
_atom_site_fract_x
_atom_site_fract_y
_atom_site_fract_z
_atom_site_occupancy
Li1 Li 0.2500 0.2500 0.0003 1
Pd1 Pd 0.2500 0.7500 0.5000 1
N1 N 0.2500 0.2500 0.4985 1
O1 O 0.2500 0.7500 0.0000 1
```

***

The following is a calculated X-ray powder pattern of LiPtNO. It was derived from a cell relaxed with PBE, using λ = 1.5418 Å (Cu Kα).
Lines closer than 0.1° are merged.

Largest 10 diffraction maxima, sorted by position, 10 to 90 degrees two-theta:
2θ/deg	Rel. int.	(hkl)
22.94	100.0	0 1 1
28.19	33.2	1 0 0
30.70	23.8	0 2 0
34.54	24.0	0 0 2
36.65	57.3	1 1 1
42.16	18.3	1 2 0
45.16	18.1	1 0 2
46.86	18.2	0 2 2
55.58	21.8	1 2 2
63.28	15.0	1 1 3

```
data_LiPtNO
_chemical_formula_sum 'Li2 Pt2 N2 O2'
_cell_length_a 3.1653
_cell_length_b 5.8249
_cell_length_c 5.1934
_cell_angle_alpha 90.00
_cell_angle_beta 90.00
_cell_angle_gamma 90.00
_symmetry_space_group_name_H-M 'P m c 21'
_symmetry_Int_Tables_number 26
_symmetry_space_group_name_Hall 'P 2c -2'
loop_
_atom_site_label
_atom_site_type_symbol
_atom_site_fract_x
_atom_site_fract_y
_atom_site_fract_z
_atom_site_occupancy
Li1 Li 0.0000 0.2167 0.0000 1
Pt1 Pt 0.5000 0.2846 0.4917 1
N1 N 0.0000 0.1242 0.4016 1
O1 O 0.5000 0.3736 0.8898 1
```

***

The following is a calculated X-ray powder pattern of LiReNO. It was derived from a cell relaxed with PBE, using λ = 1.5418 Å (Cu Kα).
Lines closer than 0.1° are merged.

Largest 10 diffraction maxima, sorted by position, 10 to 90 degrees two-theta:
2θ/deg	Rel. int.	(hkl)
16.11	100.0	0 1 0
24.10	34.7	0 1 1
27.01	44.4	1 0 0
31.60	44.5	1 1 0
36.06	26.8	0 0 2
37.34	35.0	0 2 1
39.72	21.9	0 1 2
46.69	33.9	1 2 1
48.69	26.8	1 1 2
60.68	24.0	1 3 1

```
data_LiReNO
_chemical_formula_sum 'Li2 Re2 N2 O2'
_cell_length_a 3.3015
_cell_length_b 5.5018
_cell_length_c 4.9816
_cell_angle_alpha 90.00
_cell_angle_beta 90.00
_cell_angle_gamma 90.00
_symmetry_space_group_name_H-M 'P m c 21'
_symmetry_Int_Tables_number 26
_symmetry_space_group_name_Hall 'P 2c -2'
loop_
_atom_site_label
_atom_site_type_symbol
_atom_site_fract_x
_atom_site_fract_y
_atom_site_fract_z
_atom_site_occupancy
Li1 Li 0.0000 0.1186 0.0000 1
Re1 Re 0.5000 0.4063 0.4538 1
N1 N 0.0000 0.2467 0.4076 1
O1 O 0.5000 0.2510 0.8525 1
```

***

The following is a calculated X-ray powder pattern of Li16Ta2N8O. It was derived from a cell relaxed with PBE, using λ = 1.5418 Å (Cu Kα).
Lines closer than 0.1° are merged.

Largest 10 diffraction maxima, sorted by position, 10 to 90 degrees two-theta:
2θ/deg	Rel. int.	(hkl)
18.59	100.0	0 1 2
21.06	24.4	0 0 6
22.25	69.3	1 0 4
30.04	32.1	1 1 0
33.23	24.4	0 1 8
35.56	19.8	2 0 2
36.97	32.7	2 -1 6
37.70	17.5	0 2 4
47.22	17.4	3 -2 2
53.23	20.6	2 -1 12

```
data_Li16Ta2N8O
_chemical_formula_sum 'Li48 Ta6 N24 O3'
_cell_length_a 5.9495
_cell_length_b 5.9495
_cell_length_c 25.3148
_cell_angle_alpha 90.00
_cell_angle_beta 90.00
_cell_angle_gamma 120.00
_symmetry_space_group_name_H-M 'R -3'
_symmetry_Int_Tables_number 148
_symmetry_space_group_name_Hall '-R 3'
loop_
_atom_site_label
_atom_site_type_symbol
_atom_site_fract_x
_atom_site_fract_y
_atom_site_fract_z
_atom_site_occupancy
Li1 Li 0.0000 0.0000 0.0784 1
Li2 Li 0.0000 0.0000 0.4174 1
Li3 Li 0.0069 0.6388 0.3095 1
Li4 Li 0.0226 0.6350 0.8086 1
Ta1 Ta 0.0000 0.0000 0.2495 1
N1 N 0.0000 0.0000 0.3269 1
N2 N 0.0012 0.6880 0.2245 1
O1 O 0.0000 0.0000 0.0000 1
```

***

The following is a calculated X-ray powder pattern of LiTaNO. It was derived from a cell relaxed with PBE, using λ = 1.5418 Å (Cu Kα).
Lines closer than 0.1° are merged.

Largest 10 diffraction maxima, sorted by position, 10 to 90 degrees two-theta:
2θ/deg	Rel. int.	(hkl)
15.70	86.2	0 1 0
23.31	100.0	0 1 1
26.30	64.8	1 0 0
30.78	44.2	1 1 0
34.66	39.2	0 0 2
35.43	55.5	1 1 1
36.25	50.3	0 2 1
44.03	30.8	1 0 2
45.34	55.4	1 2 1
47.02	24.8	1 1 2

```
data_LiTaNO
_chemical_formula_sum 'Li2 Ta2 N2 O2'
_cell_length_a 3.3882
_cell_length_b 5.6460
_cell_length_c 5.1763
_cell_angle_alpha 90.00
_cell_angle_beta 90.00
_cell_angle_gamma 90.00
_symmetry_space_group_name_H-M 'P m c 21'
_symmetry_Int_Tables_number 26
_symmetry_space_group_name_Hall 'P 2c -2'
loop_
_atom_site_label
_atom_site_type_symbol
_atom_site_fract_x
_atom_site_fract_y
_atom_site_fract_z
_atom_site_occupancy
Li1 Li 0.0000 0.1438 0.0000 1
Ta1 Ta 0.5000 0.3591 0.4802 1
N1 N 0.0000 0.2061 0.3984 1
O1 O 0.5000 0.3020 0.8700 1
```

***

The following is a calculated X-ray powder pattern of LiTmNO. It was derived from a cell relaxed with PBE, using λ = 1.5418 Å (Cu Kα).
Lines closer than 0.1° are merged.

Largest 10 diffraction maxima, sorted by position, 10 to 90 degrees two-theta:
2θ/deg	Rel. int.	(hkl)
22.40	76.1	0 1 0
24.98	100.0	1 0 1
29.13	34.4	0 0 2
33.80	78.6	1 1 1
37.05	30.7	0 1 2
41.21	23.3	2 0 0
45.72	17.1	0 2 0
47.40	21.2	2 1 0
52.80	26.4	1 2 1
56.61	18.0	2 1 2

```
data_LiTmNO
_chemical_formula_sum 'Li2 Tm2 N2 O2'
_cell_length_a 4.3810
_cell_length_b 3.9692
_cell_length_c 6.1311
_cell_angle_alpha 90.00
_cell_angle_beta 90.00
_cell_angle_gamma 90.00
_symmetry_space_group_name_H-M 'P m m a'
_symmetry_Int_Tables_number 51
_symmetry_space_group_name_Hall '-P 2a 2a'
loop_
_atom_site_label
_atom_site_type_symbol
_atom_site_fract_x
_atom_site_fract_y
_atom_site_fract_z
_atom_site_occupancy
Li1 Li 0.2500 0.0000 0.1845 1
Tm1 Tm 0.2500 0.5000 0.7048 1
N1 N 0.2500 0.0000 0.8595 1
O1 O 0.2500 0.5000 0.3464 1
```